Entry 1:
Computed powder XRD pattern of LiNbTe3O12 for a wavelength of 1.5418 Å, from the PBE geometry in the Materials Project.
Intensities are scaled so that the largest is 100.

Atomic structure:
```
data_LiNbTe3O12
_symmetry_space_group_name_H-M 'P 1'
_symmetry_Int_Tables_number 1
_cell_length_a 7.440
_cell_length_b 7.444
_cell_length_c 7.446
_cell_angle_alpha 87.38
_cell_angle_beta 87.70
_cell_angle_gamma 87.49
loop_
_symmetry_equiv_pos_as_xyz
'x,y,z'
loop_
_atom_site_label
_atom_site_type_symbol
_atom_site_fract_x
_atom_site_fract_y
_atom_site_fract_z
Li1 Li 0.000 0.000 0.000
Li2 Li 0.493 0.477 0.485
Nb1 Nb 0.215 0.206 0.708
Nb2 Nb 0.711 0.206 0.212
Te1 Te 0.212 0.707 0.711
Te2 Te 0.215 0.704 0.211
Te3 Te 0.216 0.208 0.212
Te4 Te 0.715 0.202 0.713
Te5 Te 0.716 0.706 0.208
Te6 Te 0.716 0.707 0.711
O1 O 0.142 0.952 0.264
O2 O 0.148 0.773 0.961
O3 O 0.156 0.266 0.455
O4 O 0.158 0.463 0.767
O5 O 0.264 0.145 0.967
O6 O 0.270 0.949 0.653
O7 O 0.277 0.638 0.460
O8 O 0.283 0.459 0.147
O9 O 0.459 0.152 0.275
O10 O 0.463 0.773 0.147
O11 O 0.464 0.634 0.761
O12 O 0.471 0.263 0.647
O13 O 0.647 0.763 0.460
O14 O 0.647 0.951 0.776
O15 O 0.653 0.464 0.270
O16 O 0.655 0.259 0.956
O17 O 0.769 0.458 0.641
O18 O 0.773 0.152 0.467
O19 O 0.777 0.948 0.147
O20 O 0.778 0.638 0.959
O21 O 0.959 0.144 0.777
O22 O 0.963 0.774 0.648
O23 O 0.966 0.637 0.272
O24 O 0.969 0.250 0.147
```

Peak list (10 most intense, 10 to 90 degrees two-theta, by angle)
hkl 2 0 0, 23.95°, d = 3.715 Å, I 100; hkl 2 2 0, 33.37°, d = 2.685 Å, I 23; hkl 2 0 2, 33.45°, d = 2.679 Å, I 11; hkl 2 -2 0, 34.85°, d = 2.574 Å, I 22; hkl 2 2 -2, 42.69°, d = 2.118 Å, I 9; hkl 4 0 0, 49.04°, d = 1.858 Å, I 16; hkl 2 4 0, 54.25°, d = 1.691 Å, I 17; hkl 4 0 2, 54.37°, d = 1.687 Å, I 8; hkl 4 -2 0, 56.32°, d = 1.634 Å, I 11; hkl 4 2 2, 58.74°, d = 1.572 Å, I 7

=====

Entry 2:
Computed powder XRD pattern of SrMg14Ti for a wavelength of 1.5418 Å, from the PBE geometry in the Materials Project.
Intensities are scaled so that the largest is 100.

Atomic structure:
```
data_SrMg14Ti
_symmetry_space_group_name_H-M 'P -6 m 2'
_symmetry_Int_Tables_number 187
_symmetry_space_group_name_Hall 'P -6 2'
_cell_length_a 6.5625
_cell_length_b 6.5625
_cell_length_c 10.3264
_cell_angle_alpha 90.00
_cell_angle_beta 90.00
_cell_angle_gamma 120.00
loop_
_atom_site_label
_atom_site_type_symbol
_atom_site_fract_x
_atom_site_fract_y
_atom_site_fract_z
Sr1 Sr 0.0000 0.0000 0.0000
Mg1 Mg 0.0001 0.5001 0.5000
Mg2 Mg 0.0098 0.5049 0.0000
Mg3 Mg 0.1680 0.3360 0.2640
Mg4 Mg 0.6667 0.3333 0.2451
Ti1 Ti 0.0000 0.0000 0.5000
```

Peak list (10 most intense, 10 to 90 degrees two-theta, by angle)
hkl 1 0 0, 15.59°, d = 5.683 Å, I 15; hkl 1 0 2, 23.28°, d = 3.822 Å, I 13; hkl 2 0 0, 31.48°, d = 2.842 Å, I 26; hkl 0 0 4, 34.75°, d = 2.582 Å, I 24; hkl 2 0 2, 36.08°, d = 2.490 Å, I 100; hkl 2 0 4, 47.59°, d = 1.911 Å, I 16; hkl 2 2 0, 56.05°, d = 1.641 Å, I 18; hkl 2 0 6, 63.16°, d = 1.472 Å, I 17; hkl 2 2 4, 67.66°, d = 1.385 Å, I 19; hkl 4 0 2, 68.49°, d = 1.370 Å, I 14

=====

Entry 3:
Computed powder XRD pattern of ZnC8N2Cl4 for a wavelength of 1.5418 Å, from the PBE geometry in the Materials Project.
Intensities are scaled so that the largest is 100.

Atomic structure:
```
data_ZnC8N2Cl4
_symmetry_space_group_name_H-M 'P n m a'
_symmetry_Int_Tables_number 62
_cell_length_a 12.749
_cell_length_b 8.354
_cell_length_c 16.245
_cell_angle_alpha 90.00
_cell_angle_beta 90.00
_cell_angle_gamma 90.00
loop_
_symmetry_equiv_pos_as_xyz
'x,y,z'
'-x,-y,-z'
'-x+1/2,-y,z+1/2'
'x+1/2,y,-z+1/2'
'x+1/2,-y+1/2,-z+1/2'
'-x+1/2,y+1/2,z+1/2'
'-x,y+1/2,-z'
'x,-y+1/2,z'
loop_
_atom_site_label
_atom_site_type_symbol
_atom_site_fract_x
_atom_site_fract_y
_atom_site_fract_z
Zn1 Zn 0.195 0.250 0.062
C1 C 0.011 0.598 0.847
C2 C 0.012 0.750 0.440
C3 C 0.027 0.635 0.378
C4 C 0.047 0.750 0.874
C5 C 0.066 0.250 0.754
C6 C 0.243 0.750 0.913
N1 N 0.013 0.250 0.691
N2 N 0.153 0.750 0.893
Cl1 Cl 0.027 0.750 0.542
Cl2 Cl 0.125 0.056 0.148
Cl3 Cl 0.211 0.250 0.934
```

Peak list (10 most intense, 10 to 90 degrees two-theta, by angle)
hkl 0 0 2, 10.89°, d = 8.123 Å, I 27; hkl 1 1 1, 13.80°, d = 6.418 Å, I 100; hkl 1 1 2, 16.74°, d = 5.297 Å, I 52; hkl 1 0 3, 17.80°, d = 4.984 Å, I 20; hkl 0 1 3, 19.54°, d = 4.544 Å, I 25; hkl 0 2 0, 21.27°, d = 4.177 Å, I 29; hkl 3 0 1, 21.61°, d = 4.112 Å, I 62; hkl 0 2 2, 23.96°, d = 3.715 Å, I 24; hkl 3 2 1, 30.51°, d = 2.930 Å, I 24; hkl 4 1 2, 32.01°, d = 2.796 Å, I 18

=====

Entry 4:
Computed powder XRD pattern of EuPaO4 for a wavelength of 1.5418 Å, from the PBE geometry in the Materials Project.
Intensities are scaled so that the largest is 100.

Atomic structure:
```
data_EuPaO4
_symmetry_space_group_name_H-M 'P 4/m m m'
_symmetry_Int_Tables_number 123
_symmetry_space_group_name_Hall '-P 4 2'
_cell_length_a 3.833
_cell_length_b 3.833
_cell_length_c 5.513
_cell_angle_alpha 90.00
_cell_angle_beta 90.00
_cell_angle_gamma 90.00
loop_
_atom_site_label
_atom_site_type_symbol
_atom_site_fract_x
_atom_site_fract_y
_atom_site_fract_z
Eu1 Eu 0.000 0.000 0.000
Pa1 Pa 0.500 0.500 0.500
O1 O 0.000 0.500 0.267
```

Peak list (10 most intense, 10 to 90 degrees two-theta, by angle)
hkl 1 0 1, 28.36°, d = 3.147 Å, I 100; hkl 0 0 2, 32.48°, d = 2.756 Å, I 12; hkl 1 1 0, 33.05°, d = 2.710 Å, I 23; hkl 1 1 2, 47.02°, d = 1.933 Å, I 34; hkl 2 0 0, 47.44°, d = 1.917 Å, I 17; hkl 1 0 3, 55.45°, d = 1.657 Å, I 16; hkl 2 1 1, 56.19°, d = 1.637 Å, I 30; hkl 2 0 2, 58.67°, d = 1.574 Å, I 10; hkl 2 1 3, 75.91°, d = 1.254 Å, I 13; hkl 3 1 2, 88.02°, d = 1.110 Å, I 11